Entry 1:
Computed powder X-ray diffraction pattern
Compound: Ho2S2BrCl
Radiation: Cu Kα, 1.54184 Å
Structure: the PBE geometry in OQMD
Neutral-atom scattering factors, no anomalous dispersion.

a = 4.0083 Å, b = 5.3384 Å, c = 9.0894 Å
α = 90.00°, β = 90.00°, γ = 90.00°
Space group Pmm2 (No. 25)
One atom of each set of equivalent atoms:
Ho 0.0000 0.0000 0.0000
Ho 0.5000 0.5000 0.2551
S 0.0000 0.5000 0.0506
S 0.5000 0.0000 0.2042
Br 0.5000 0.0000 0.7831
Cl 0.0000 0.5000 0.4483

The 6 most intense peaks (15 to 90 degrees two-theta), by angle:
Position (°2θ), I_rel, h k l
19.3, 100, 0 1 1
29.5, 43, 1 1 1
29.7, 88, 1 0 2
33.6, 35, 0 2 0
41.0, 41, 1 1 3
45.4, 53, 1 2 2

---

Entry 2:
Computed powder X-ray diffraction pattern
Compound: Tl2Mo9S11
Radiation: Cu Kα, 1.54184 Å
Structure: the PBE geometry in OQMD
Neutral-atom scattering factors, no anomalous dispersion.

a = 9.3962 Å, b = 9.3962 Å, c = 35.6382 Å
α = 90.00°, β = 90.00°, γ = 120.00°
Space group R-3c (No. 167, hexagonal axes)
One atom of each set of equivalent atoms:
Tl 0.0000 0.0000 0.0523
Mo 0.0000 0.1673 0.2500
Mo 0.0101 0.1696 0.8137
S 0.0000 0.0000 0.1345
S 0.0000 0.3042 0.7500
S 0.0195 0.3770 0.8584

The 6 most intense peaks (15 to 90 degrees two-theta), by angle:
Position (°2θ), I_rel, h k l
18.9, 100, 1 1 0
22.8, 74, 0 1 8
29.5, 89, 1 2 2
40.3, 40, 3 1 2
42.0, 63, 1 0 16
44.9, 80, 2 2 9

---

Entry 3:
Computed powder X-ray diffraction pattern
Compound: LaAl4Ag8
Radiation: Cu Kα, 1.54184 Å
Structure: the PBE geometry in OQMD
Neutral-atom scattering factors, no anomalous dispersion.

a = 9.4132 Å, b = 9.4132 Å, c = 5.3724 Å
α = 90.00°, β = 90.00°, γ = 90.00°
Space group I4/mmm (No. 139)
One atom of each set of equivalent atoms:
La 0.0000 0.0000 0.0000
Al 0.2500 0.2500 0.2500
Ag 0.0000 0.2191 0.5000
Ag 0.0000 0.3458 0.0000

The 6 most intense peaks (15 to 90 degrees two-theta), by angle:
Position (°2θ), I_rel, h k l
33.1, 36, 3 0 1
33.4, 33, 0 0 2
38.3, 100, 4 0 0
43.0, 24, 4 1 1
43.3, 22, 2 2 2
69.2, 20, 6 3 1

---

Entry 4:
Computed powder X-ray diffraction pattern
Compound: TbGd2Al7Ag2
Radiation: Cu Kα, 1.54184 Å
Structure: the PBE geometry in OQMD
Neutral-atom scattering factors, no anomalous dispersion.

a = 5.5677 Å, b = 5.5677 Å, c = 26.4013 Å
α = 90.00°, β = 90.00°, γ = 120.00°
Space group R-3m (No. 166, hexagonal axes)
One atom of each set of equivalent atoms:
Tb 0.0000 0.0000 0.0000
Gd 0.0000 0.0000 0.1420
Al 0.0000 0.0000 0.5000
Al 0.0078 0.5039 0.9164
Ag 0.0000 0.0000 0.3356

The 6 most intense peaks (15 to 90 degrees two-theta), by angle:
Position (°2θ), I_rel, h k l
20.2, 37, 0 0 6
30.1, 28, 1 0 7
32.2, 85, 1 1 0
32.9, 20, 0 1 8
38.3, 100, 1 1 6
61.4, 24, 3 0 6

---

Entry 5:
Computed powder X-ray diffraction pattern
Compound: KPt2N
Radiation: Cu Kα, 1.54184 Å
Structure: the PBE geometry in OQMD
Neutral-atom scattering factors, no anomalous dispersion.

a = 3.0199 Å, b = 5.2119 Å, c = 16.8985 Å
α = 90.00°, β = 90.00°, γ = 90.00°
Space group Cmcm (No. 63)
One atom of each set of equivalent atoms:
K 0.0000 0.0000 0.0000
Pt 0.0000 0.3336 0.1673
N 0.0000 0.3338 0.7500

The 6 most intense peaks (15 to 90 degrees two-theta), by angle:
Position (°2θ), I_rel, h k l
31.8, 47, 0 0 6
34.8, 100, 0 2 1
36.0, 25, 1 1 2
43.8, 61, 0 2 5
51.6, 40, 0 2 7
71.0, 19, 1 3 6

---

Entry 6:
Computed powder X-ray diffraction pattern
Compound: AgAsS16F6
Radiation: Cu Kα, 1.54184 Å
Structure: the PBE geometry in OQMD
Neutral-atom scattering factors, no anomalous dispersion.

a = 17.2964 Å, b = 7.7652 Å, c = 15.3450 Å
α = 90.00°, β = 102.23°, γ = 90.00°
Space group C2/c (No. 15)
One atom of each set of equivalent atoms:
Ag 0.0000 0.1630 0.2500
As 0.0000 0.5000 0.0000
S 0.0835 0.0122 0.1406
S 0.0977 0.2124 0.8301
S 0.1291 0.2086 0.7091
S 0.1346 0.3628 0.2537
S 0.1455 0.1480 0.4430
S 0.1676 0.2034 0.1600
S 0.1840 0.0979 0.9261
S 0.2044 0.3183 0.3781
F 0.0066 0.4527 0.3883
F 0.0152 0.2778 0.9816
F 0.1034 0.4698 0.5349

The 6 most intense peaks (15 to 90 degrees two-theta), by angle:
Position (°2θ), I_rel, h k l
16.5, 57, 1 1 -2
24.5, 65, 3 1 2
25.9, 100, 0 2 2
28.0, 58, 2 0 4
28.3, 57, 4 0 -4
33.8, 65, 4 2 -3

---

Entry 7:
Computed powder X-ray diffraction pattern
Compound: Ta5Ni7
Radiation: Cu Kα, 1.54184 Å
Structure: the PBE geometry in OQMD
Neutral-atom scattering factors, no anomalous dispersion.

a = 4.9840 Å, b = 4.9840 Å, c = 15.9956 Å
α = 90.00°, β = 90.00°, γ = 120.00°
Space group P6_3/mmc (No. 194)
One atom of each set of equivalent atoms:
Ta 0.0000 0.0000 0.0846
Ta 0.1653 0.3305 0.2500
Ni 0.0000 0.5000 0.0000
Ni 0.3333 0.6667 0.1182
Ni 0.3333 0.6667 0.6514

The 6 most intense peaks (15 to 90 degrees two-theta), by angle:
Position (°2θ), I_rel, h k l
20.6, 47, 1 0 0
39.7, 86, 1 0 6
42.3, 54, 2 0 1
42.8, 100, 1 1 4
43.4, 93, 2 0 2
45.3, 69, 0 0 8

---

Entry 8:
Computed powder X-ray diffraction pattern
Compound: NdHoCu2
Radiation: Cu Kα, 1.54184 Å
Structure: the PBE geometry in OQMD
Neutral-atom scattering factors, no anomalous dispersion.

a = 4.5137 Å, b = 7.2422 Å, c = 5.4612 Å
α = 90.00°, β = 90.00°, γ = 90.00°
Space group Pmn2_1 (No. 31)
One atom of each set of equivalent atoms:
Nd 0.0000 0.0710 0.0000
Ho 0.0000 0.5673 0.7651
Cu 0.0000 0.2308 0.5026
Cu 0.0000 0.7033 0.2526

The 6 most intense peaks (15 to 90 degrees two-theta), by angle:
Position (°2θ), I_rel, h k l
28.5, 88, 1 1 1
31.7, 100, 1 2 0
35.1, 85, 0 1 2
35.8, 96, 1 2 1
39.9, 63, 2 0 0
40.6, 84, 1 1 2

---

Entry 9:
Computed powder X-ray diffraction pattern
Compound: Tb2AsIBr
Radiation: Cu Kα, 1.54184 Å
Structure: the PBE geometry in OQMD
Neutral-atom scattering factors, no anomalous dispersion.

a = 4.1326 Å, b = 4.1326 Å, c = 10.7859 Å
α = 90.00°, β = 90.00°, γ = 120.00°
Space group P3m1 (No. 156)
One atom of each set of equivalent atoms:
Tb 0.0000 0.0000 0.0000
Tb 0.3333 0.6667 0.2899
As 0.6667 0.3333 0.1454
I 0.3333 0.6667 0.8107
Br 0.0000 0.0000 0.4547

The 6 most intense peaks (15 to 90 degrees two-theta), by angle:
Position (°2θ), I_rel, h k l
24.9, 14, 1 0 0
30.0, 100, 1 0 2
41.9, 31, 0 1 4
43.8, 32, 1 1 0
54.0, 19, 0 2 2
72.0, 16, 2 1 2

---

Which formula does entry 9 have? Tb2AsIBr